1.
Starting from a DFT-relaxed cell (PBE, Alexandria), the X-ray powder pattern of Hg3Br2O2 was simulated for Cu Ka.

The 12 most intense peaks (10° ≤ 2θ ≤ 80°), most intense first:
h k l	2θ (°)	I (rel.)
0 2 1	28.38	100
1 0 -2	22.05	100
1 0 2	35.39	53
2 1 -1	28.91	51
1 2 1	35.04	49
3 1 1	55.19	38
2 2 -1	36.57	36
2 0 0	29.82	36
1 1 -1	18.78	33
2 4 -2	60.12	33
1 2 -3	42.39	32
0 3 1	40.56	32

Cell and atoms:
```
data_Hg3Br2O2
_chemical_formula_sum 'Hg6 Br4 O4'
_cell_length_a 6.8991
_cell_length_b 7.0261
_cell_length_c 8.1076
_cell_angle_alpha 90.00
_cell_angle_beta 119.69
_cell_angle_gamma 90.00
_symmetry_space_group_name_H-M 'P 1 21/c 1'
_symmetry_Int_Tables_number 14
loop_
_symmetry_equiv_pos_as_xyz
'x,y,z'
'-x,-y,-z'
'-x,y+1/2,-z+1/2'
'x,-y+1/2,z+1/2'
loop_
_atom_site_label
_atom_site_fract_x
_atom_site_fract_y
_atom_site_fract_z
_atom_site_occupancy
Hg1 0.0000 0.0000 0.0000 1
Hg2 0.4618 0.1397 0.7320 1
Br1 0.1711 0.6345 0.9097 1
O1 0.3416 0.0942 0.0998 1
```

***

2.
Starting from a DFT-relaxed cell (PBE, Alexandria), the X-ray powder pattern of Hg5Br2O4 was simulated for Cu Ka.

The 12 most intense peaks (10° ≤ 2θ ≤ 80°), most intense first:
h k l	2θ (°)	I (rel.)
2 0 2	32.01	100
1 3 2	30.08	88
0 0 4	29.72	67
1 3 0	26.07	37
1 2 1	21.56	28
1 3 4	39.93	27
2 0 6	54.20	26
0 4 0	29.29	22
1 3 6	52.96	20
2 4 2	43.94	19
3 3 4	58.10	18
3 3 0	48.70	18

Cell and atoms:
```
data_Hg5Br2O4
_chemical_formula_sum 'Hg20 Br8 O16'
_cell_length_a 6.3166
_cell_length_b 12.1962
_cell_length_c 12.0253
_cell_angle_alpha 90.00
_cell_angle_beta 90.00
_cell_angle_gamma 90.00
_symmetry_space_group_name_H-M 'I b a m'
_symmetry_Int_Tables_number 72
_symmetry_space_group_name_Hall '-I 2 2c'
loop_
_atom_site_label
_atom_site_fract_x
_atom_site_fract_y
_atom_site_fract_z
_atom_site_occupancy
Hg1 0.0000 0.0000 0.2500 1
Hg2 0.0000 0.3408 0.2500 1
Hg3 0.2162 0.1393 0.0000 1
Br1 0.2288 0.3900 0.0000 1
O1 0.2013 0.1440 0.1767 1
```

***

3.
Starting from a DFT-relaxed cell (PBE, Alexandria), the X-ray powder pattern of HgBrO4 was simulated for Cu Ka.

The 12 most intense peaks (10° ≤ 2θ ≤ 80°), most intense first:
h k l	2θ (°)	I (rel.)
1 2 0	23.74	100
0 2 2	28.79	95
2 1 0	38.40	59
1 1 0	19.98	54
0 2 0	14.66	50
1 0 2	31.03	38
1 4 2	43.39	36
2 1 2	46.16	28
1 1 2	31.93	21
0 4 0	29.57	21
1 2 4	56.56	19
1 4 0	35.14	19

Cell and atoms:
```
data_HgBrO4
_chemical_formula_sum 'Hg4 Br4 O16'
_cell_length_a 4.7794
_cell_length_b 12.0855
_cell_length_c 7.2247
_cell_angle_alpha 90.00
_cell_angle_beta 90.00
_cell_angle_gamma 90.00
_symmetry_space_group_name_H-M 'P b c m'
_symmetry_Int_Tables_number 57
loop_
_symmetry_equiv_pos_as_xyz
'x,y,z'
'-x,-y,-z'
'-x,-y,z+1/2'
'x,y,-z+1/2'
'x,-y+1/2,-z'
'-x,y+1/2,z'
'-x,y+1/2,-z+1/2'
'x,-y+1/2,z+1/2'
loop_
_atom_site_label
_atom_site_fract_x
_atom_site_fract_y
_atom_site_fract_z
_atom_site_occupancy
Hg1 0.1094 0.2500 0.0000 1
Br1 0.4827 0.0501 0.2500 1
O1 0.0992 0.1703 0.7500 1
O2 0.1319 0.0569 0.2500 1
O3 0.4289 0.6268 0.0624 1
```

***

4.
Starting from a DFT-relaxed cell (PBE, Alexandria), the X-ray powder pattern of Hg8Br3O4 was simulated for Cu Ka.

The 12 most intense peaks (10° ≤ 2θ ≤ 80°), most intense first:
h k l	2θ (°)	I (rel.)
1 1 -8	27.95	100
1 2 1	30.68	92
2 1 -7	33.39	67
2 0 4	28.94	55
0 1 9	28.50	44
1 0 10	31.89	41
1 1 -3	19.85	36
2 1 -4	30.05	30
2 0 6	32.04	30
0 2 5	30.93	29
1 1 5	24.09	25
1 2 -9	38.73	24

Cell and atoms:
```
data_Hg8Br3O4
_chemical_formula_sum 'Hg32 Br12 O16'
_cell_length_a 7.0483
_cell_length_b 6.4740
_cell_length_c 32.4038
_cell_angle_alpha 90.00
_cell_angle_beta 96.40
_cell_angle_gamma 90.00
_symmetry_space_group_name_H-M 'P 1 21/c 1'
_symmetry_Int_Tables_number 14
loop_
_symmetry_equiv_pos_as_xyz
'x,y,z'
'-x,-y,-z'
'-x,y+1/2,-z+1/2'
'x,-y+1/2,z+1/2'
loop_
_atom_site_label
_atom_site_fract_x
_atom_site_fract_y
_atom_site_fract_z
_atom_site_occupancy
Hg1 0.0079 0.0865 0.2902 1
Hg2 0.1406 0.6269 0.9938 1
Hg3 0.1730 0.1715 0.8923 1
Hg4 0.1920 0.0615 0.1791 1
Hg5 0.2792 0.5632 0.1256 1
Hg6 0.4104 0.1709 0.9606 1
Hg7 0.4282 0.6349 0.7791 1
Hg8 0.4561 0.1357 0.5705 1
Br1 0.1474 0.6927 0.8730 1
Br2 0.1833 0.5169 0.5579 1
Br3 0.4105 0.1574 0.8147 1
O1 0.0756 0.7295 0.6579 1
O2 0.1508 0.6079 0.7508 1
O3 0.2928 0.1399 0.6935 1
O4 0.4077 0.7272 0.4803 1
```

***

5.
Starting from a DFT-relaxed cell (PBE, Alexandria), the X-ray powder pattern of HgPbBr2O was simulated for Cu Ka.

The 12 most intense peaks (10° ≤ 2θ ≤ 80°), most intense first:
h k l	2θ (°)	I (rel.)
1 3 0	29.39	100
0 6 0	37.25	48
0 2 2	22.52	47
0 2 3	31.05	36
1 1 2	30.33	29
1 5 2	43.37	28
1 3 4	48.93	26
0 2 1	15.44	24
1 5 3	48.71	19
2 2 3	56.91	18
2 0 0	46.41	17
0 0 4	38.22	14

Cell and atoms:
```
data_HgPbBr2O
_chemical_formula_sum 'Hg4 Pb4 Br8 O4'
_cell_length_a 3.9131
_cell_length_b 14.4708
_cell_length_c 9.4199
_cell_angle_alpha 90.00
_cell_angle_beta 90.00
_cell_angle_gamma 90.00
_symmetry_space_group_name_H-M 'C m c m'
_symmetry_Int_Tables_number 63
_symmetry_space_group_name_Hall '-C 2c 2'
loop_
_atom_site_label
_atom_site_fract_x
_atom_site_fract_y
_atom_site_fract_z
_atom_site_occupancy
Hg1 0.0000 0.0000 0.0000 1
Pb1 0.0000 0.3363 0.2500 1
Br1 0.0000 0.3653 0.5671 1
O1 0.0000 0.0718 0.7500 1
```

***

6.
Starting from a DFT-relaxed cell (PBE, Alexandria), the X-ray powder pattern of RbHg2BrO2 was simulated for Cu Ka.

The 12 most intense peaks (10° ≤ 2θ ≤ 80°), most intense first:
h k l	2θ (°)	I (rel.)
0 0 1	11.33	100
0 2 0	25.69	90
0 1 2	26.19	69
2 0 -2	30.88	60
0 1 1	17.10	59
2 0 -1	27.12	43
2 0 0	27.98	42
0 1 3	36.87	33
0 4 0	52.84	32
2 2 0	38.35	29
2 2 -1	37.70	26
2 1 -4	49.26	23

Cell and atoms:
```
data_RbHg2BrO2
_chemical_formula_sum 'Rb2 Hg4 Br2 O4'
_cell_length_a 6.6372
_cell_length_b 6.9345
_cell_length_c 8.1310
_cell_angle_alpha 90.00
_cell_angle_beta 106.10
_cell_angle_gamma 90.00
_symmetry_space_group_name_H-M 'P 1 21/m 1'
_symmetry_Int_Tables_number 11
loop_
_symmetry_equiv_pos_as_xyz
'x,y,z'
'-x,-y,-z'
'-x,y+1/2,-z'
'x,-y+1/2,z'
loop_
_atom_site_label
_atom_site_fract_x
_atom_site_fract_y
_atom_site_fract_z
_atom_site_occupancy
Rb1 0.1073 0.2500 0.3720 1
Hg1 0.2121 0.2500 0.8855 1
Hg2 0.2785 0.7500 0.0654 1
Br1 0.3372 0.7500 0.3924 1
O1 0.1971 0.5369 0.8579 1
```

***

7.
Starting from a DFT-relaxed cell (PBE, Alexandria), the X-ray powder pattern of HgSeBrO4 was simulated for Cu Ka.

The 12 most intense peaks (10° ≤ 2θ ≤ 80°), most intense first:
h k l	2θ (°)	I (rel.)
3 1 0	24.62	100
0 2 0	27.01	53
3 1 -2	33.96	27
0 0 2	29.62	26
0 2 2	40.51	25
1 1 1	22.41	23
3 1 1	31.68	23
2 0 -1	17.05	21
2 0 0	13.66	19
1 1 -2	31.57	17
1 1 0	15.06	15
3 1 -1	25.58	15

Cell and atoms:
```
data_HgSeBrO4
_chemical_formula_sum 'Hg4 Se4 Br4 O16'
_cell_length_a 13.5072
_cell_length_b 6.6020
_cell_length_c 6.2829
_cell_angle_alpha 90.00
_cell_angle_beta 106.24
_cell_angle_gamma 90.00
_symmetry_space_group_name_H-M 'C 1 2/m 1'
_symmetry_Int_Tables_number 12
loop_
_symmetry_equiv_pos_as_xyz
'x,y,z'
'-x,-y,-z'
'-x,y,-z'
'x,-y,z'
'x+1/2,y+1/2,z'
'-x+1/2,-y+1/2,-z'
'-x+1/2,y+1/2,-z'
'x+1/2,-y+1/2,z'
loop_
_atom_site_label
_atom_site_fract_x
_atom_site_fract_y
_atom_site_fract_z
_atom_site_occupancy
Hg1 0.1883 0.0000 0.2999 1
Se1 0.1407 0.0000 0.7479 1
Br1 0.0369 0.5000 0.1893 1
O1 0.0263 0.0000 0.7885 1
O2 0.1657 0.1980 0.5961 1
O3 0.2334 0.0000 0.9985 1
```

***

8.
Starting from a DFT-relaxed cell (PBE, Alexandria), the X-ray powder pattern of SrHg2BrO2 was simulated for Cu Ka.

The 12 most intense peaks (10° ≤ 2θ ≤ 80°), most intense first:
h k l	2θ (°)	I (rel.)
1 1 1	24.73	100
2 1 -2	33.06	52
0 2 0	28.16	51
1 1 0	19.19	48
1 0 0	13.08	41
1 2 -3	45.22	26
1 0 -3	34.64	21
2 1 1	35.32	20
3 2 0	49.58	20
1 3 1	47.81	18
2 1 -3	40.64	17
3 0 0	39.94	15

Cell and atoms:
```
data_SrHg2BrO2
_chemical_formula_sum 'Sr2 Hg4 Br2 O4'
_cell_length_a 7.1103
_cell_length_b 6.3372
_cell_length_c 7.7838
_cell_angle_alpha 90.00
_cell_angle_beta 107.83
_cell_angle_gamma 90.00
_symmetry_space_group_name_H-M 'P 1 21/m 1'
_symmetry_Int_Tables_number 11
loop_
_symmetry_equiv_pos_as_xyz
'x,y,z'
'-x,-y,-z'
'-x,y+1/2,-z'
'x,-y+1/2,z'
loop_
_atom_site_label
_atom_site_fract_x
_atom_site_fract_y
_atom_site_fract_z
_atom_site_occupancy
Sr1 0.1851 0.2500 0.0280 1
Hg1 0.1008 0.7500 0.6725 1
Hg2 0.2092 0.7500 0.3690 1
Br1 0.4883 0.7500 0.1854 1
O1 0.0221 0.0048 0.1868 1
```